Ac8Co3Au2: simulated powder diffraction line list (Cu Kα (weighted mean of Kα1 and Kα2)), based on a crystal structure in Alexandria, relaxed with PBE.

Cell: 8.9871 8.9871 7.2735 Å, 105.77 105.77 55.47°
Atoms (fractional coordinates):
Ac  0.1061  0.1061  0.4049
Ac  0.1321  0.6508  0.0988
Ac  0.3492  0.8679  0.9012
Ac  0.3932  0.3932  0.5791
Ac  0.6068  0.6068  0.4209
Ac  0.6508  0.1321  0.0988
Ac  0.8679  0.3492  0.9012
Ac  0.8939  0.8939  0.5951
Co  0.0000  0.0000  0.0000
Co  0.2545  0.7455  0.5000
Co  0.7455  0.2545  0.5000
Au  0.2556  0.2556  0.8292
Au  0.7444  0.7444  0.1708

Principal peaks in the range 5° ≤ 2θ ≤ 70°, low angle first:
2θ/deg	I/Imax
24.85	47
29.24	31
31.55	100
37.21	21
43.13	36
43.27	19